This entry pairs a crystal structure of Sr2CrCl6 with its computed X-ray powder pattern. Radiation: Cu Kα (weighted mean of Kα1 and Kα2). Structure: a crystal structure in Alexandria, relaxed with PBE.
Intensities are scaled so that the largest is 100.

Structural model:
```
data_Sr2CrCl6
_chemical_formula_sum 'Sr4 Cr2 Cl12'
_cell_length_a 6.5180
_cell_length_b 7.8913
_cell_length_c 11.2449
_cell_angle_alpha 90.00
_cell_angle_beta 124.50
_cell_angle_gamma 90.00
_space_group_name_H-M_alt 'P 1 21/c 1'
_space_group_IT_number 14
_space_group_name_Hall '-P 2ybc'
loop_
_atom_site_label
_atom_site_type_symbol
_atom_site_fract_x
_atom_site_fract_y
_atom_site_fract_z
Sr1 Sr 0.2199 0.1156 0.2606
Cr1 Cr 0.5000 0.0000 0.0000
Cl1 Cl 0.1357 0.1503 0.9465
Cl2 Cl 0.2719 0.6794 0.9385
Cl3 Cl 0.3742 0.0320 0.7570
```

Peak list (10 most intense, 2θ from 5° to 70°, sorted by position)
| 2theta | Rel. int. | hkl |
| --- | --- | --- |
| 14.7 | 40 | 0 1 1 |
| 16.8 | 54 | 1 0 -2 |
| 20.0 | 54 | 1 1 0 |
| 20.2 | 52 | 1 1 -2 |
| 31.1 | 69 | 2 1 -1 |
| 33.9 | 53 | 1 1 2 |
| 36.8 | 67 | 1 3 -1 |
| 37.0 | 100 | 0 2 3 |
| 38.9 | 43 | 0 0 4 |
| 47.4 | 46 | 3 1 -1 |

This entry pairs a crystal structure of Tb8CrTe13Cl with its computed X-ray powder pattern. Radiation: Cu Kα (weighted mean of Kα1 and Kα2). Structure: a crystal structure in Alexandria, relaxed with PBE.
Intensities are scaled so that the largest is 100.

Structural model:
```
data_Tb8CrTe13Cl
_chemical_formula_sum 'Tb32 Cr4 Te52 Cl4'
_cell_length_a 4.1987
_cell_length_b 26.5822
_cell_length_c 23.8311
_cell_angle_alpha 90.00
_cell_angle_beta 90.00
_cell_angle_gamma 90.00
_space_group_name_H-M_alt 'C m c 21'
_space_group_IT_number 36
_space_group_name_Hall 'C 2c -2'
loop_
_atom_site_label
_atom_site_type_symbol
_atom_site_fract_x
_atom_site_fract_y
_atom_site_fract_z
Tb1 Tb 0.0000 0.0176 0.0000
Tb2 Tb 0.0000 0.0522 0.6659
Tb3 Tb 0.0000 0.1072 0.8377
Tb4 Tb 0.0000 0.1478 0.5047
Tb5 Tb 0.0000 0.2752 0.8172
Tb6 Tb 0.0000 0.3067 0.4908
Tb7 Tb 0.0000 0.3680 0.6572
Tb8 Tb 0.0000 0.4402 0.8247
Cr1 Cr 0.0000 0.2913 0.1635
Te1 Te 0.0000 0.0621 0.2222
Te2 Te 0.0000 0.1301 0.0590
Te3 Te 0.0000 0.1439 0.3639
Te4 Te 0.0000 0.1736 0.7272
Te5 Te 0.0000 0.2024 0.2200
Te6 Te 0.0000 0.2433 0.5992
Te7 Te 0.0000 0.2746 0.9567
Te8 Te 0.0000 0.3044 0.3581
Te9 Te 0.0000 0.3773 0.1028
Te10 Te 0.0000 0.4140 0.4373
Te11 Te 0.0000 0.4338 0.9622
Te12 Te 0.0000 0.4499 0.2632
Te13 Te 0.0000 0.4814 0.6008
Cl1 Cl 0.0000 0.0009 0.3680
```

Peak list (10 most intense, 2θ from 5° to 70°, sorted by position)
| 2theta | Rel. int. | hkl |
| --- | --- | --- |
| 27.9 | 29 | 0 8 2 |
| 29.3 | 38 | 1 5 3 |
| 30.1 | 34 | 1 3 5 |
| 30.8 | 27 | 0 8 4 |
| 31.2 | 53 | 1 1 6 |
| 32.7 | 100 | 1 7 2 |
| 33.0 | 42 | 1 5 5 |
| 39.7 | 45 | 0 6 9 |
| 43.1 | 58 | 2 0 0 |
| 60.0 | 26 | 2 6 9 |

This entry pairs a crystal structure of Ti2CrCl2 with its computed X-ray powder pattern. Radiation: Cu Kα (weighted mean of Kα1 and Kα2). Structure: a crystal structure in Alexandria, relaxed with PBE.
Intensities are scaled so that the largest is 100.

Structural model:
```
data_Ti2CrCl2
_chemical_formula_sum 'Ti4 Cr2 Cl4'
_cell_length_a 7.3907
_cell_length_b 7.3907
_cell_length_c 2.9901
_cell_angle_alpha 90.00
_cell_angle_beta 90.00
_cell_angle_gamma 90.00
_space_group_name_H-M_alt 'P 4/m b m'
_space_group_IT_number 127
_space_group_name_Hall '-P 4 2ab'
loop_
_atom_site_label
_atom_site_type_symbol
_atom_site_fract_x
_atom_site_fract_y
_atom_site_fract_z
Ti1 Ti 0.1634 0.3366 0.0000
Cr1 Cr 0.0000 0.0000 0.0000
Cl1 Cl 0.1358 0.6358 0.5000
```

Peak list (10 most intense, 2θ from 5° to 70°, sorted by position)
| 2theta | Rel. int. | hkl |
| --- | --- | --- |
| 29.9 | 12 | 0 0 1 |
| 34.3 | 15 | 2 2 0 |
| 34.6 | 19 | 1 1 1 |
| 38.5 | 77 | 3 1 0 |
| 40.7 | 100 | 2 1 1 |
| 46.1 | 12 | 2 2 1 |
| 49.5 | 15 | 3 1 1 |
| 55.6 | 9 | 4 2 0 |
| 60.2 | 12 | 4 1 1 |
| 62.1 | 10 | 0 0 2 |

This entry pairs a crystal structure of Tl2CrCl5 with its computed X-ray powder pattern. Radiation: Cu Kα (weighted mean of Kα1 and Kα2). Structure: a crystal structure in Alexandria, relaxed with PBE.
Intensities are scaled so that the largest is 100.

Structural model:
```
data_Tl2CrCl5
_chemical_formula_sum 'Tl8 Cr4 Cl20'
_cell_length_a 15.8315
_cell_length_b 7.3724
_cell_length_c 9.1577
_cell_angle_alpha 90.00
_cell_angle_beta 121.93
_cell_angle_gamma 90.00
_space_group_name_H-M_alt 'C 1 c 1'
_space_group_IT_number 9
_space_group_name_Hall 'C -2yc'
loop_
_atom_site_label
_atom_site_type_symbol
_atom_site_fract_x
_atom_site_fract_y
_atom_site_fract_z
Tl1 Tl 0.0000 0.0089 0.0000
Tl2 Tl 0.1734 0.4871 0.0316
Cr1 Cr 0.3373 0.0009 0.5170
Cl1 Cl 0.0037 0.4011 0.1432
Cl2 Cl 0.1708 0.0966 0.8904
Cl3 Cl 0.2835 0.2873 0.3943
Cl4 Cl 0.3373 0.1196 0.7671
Cl5 Cl 0.3913 0.2851 0.1404
```

Peak list (10 most intense, 2θ from 5° to 70°, sorted by position)
| 2theta | Rel. int. | hkl |
| --- | --- | --- |
| 22.9 | 37 | 0 0 2 |
| 23.2 | 71 | 3 1 0 |
| 24.2 | 100 | 0 2 0 |
| 29.7 | 19 | 1 1 2 |
| 31.2 | 24 | 5 1 -2 |
| 33.5 | 32 | 0 2 2 |
| 39.8 | 19 | 3 1 2 |
| 41.5 | 25 | 3 1 -4 |
| 41.9 | 20 | 3 3 0 |
| 42.5 | 30 | 3 3 -2 |

This entry pairs a crystal structure of Tl4CrCl5 with its computed X-ray powder pattern. Radiation: Cu Kα (weighted mean of Kα1 and Kα2). Structure: a crystal structure in Alexandria, relaxed with PBE.
Intensities are scaled so that the largest is 100.

Structural model:
```
data_Tl4CrCl5
_chemical_formula_sum 'Tl8 Cr2 Cl10'
_cell_length_a 9.8145
_cell_length_b 9.8145
_cell_length_c 6.3810
_cell_angle_alpha 90.00
_cell_angle_beta 90.00
_cell_angle_gamma 90.00
_space_group_name_H-M_alt 'I 4'
_space_group_IT_number 79
_space_group_name_Hall 'I 4'
loop_
_atom_site_label
_atom_site_type_symbol
_atom_site_fract_x
_atom_site_fract_y
_atom_site_fract_z
Tl1 Tl 0.0869 0.6934 0.0000
Cr1 Cr 0.0000 0.0000 0.5280
Cl1 Cl 0.0000 0.0000 0.9549
Cl2 Cl 0.0964 0.7634 0.4953
```

Peak list (10 most intense, 2θ from 5° to 70°, sorted by position)
| 2theta | Rel. int. | hkl |
| --- | --- | --- |
| 24.6 | 100 | 1 2 1 |
| 28.0 | 40 | 0 0 2 |
| 28.8 | 69 | 3 1 0 |
| 30.7 | 14 | 3 0 1 |
| 40.6 | 53 | 3 1 2 |
| 41.1 | 23 | 2 4 0 |
| 47.5 | 19 | 1 2 3 |
| 48.5 | 41 | 4 3 1 |
| 50.5 | 25 | 2 4 2 |
| 64.6 | 18 | 4 3 3 |

This entry pairs a crystal structure of Tl2CrCl with its computed X-ray powder pattern. Radiation: Cu Kα (weighted mean of Kα1 and Kα2). Structure: a crystal structure in Alexandria, relaxed with PBE.
Intensities are scaled so that the largest is 100.

Structural model:
```
data_Tl2CrCl
_chemical_formula_sum 'Tl4 Cr2 Cl2'
_cell_length_a 5.4203
_cell_length_b 6.3479
_cell_length_c 7.7635
_cell_angle_alpha 110.33
_cell_angle_beta 90.31
_cell_angle_gamma 115.27
_space_group_name_H-M_alt 'P -1'
_space_group_IT_number 2
_space_group_name_Hall '-P 1'
loop_
_atom_site_label
_atom_site_type_symbol
_atom_site_fract_x
_atom_site_fract_y
_atom_site_fract_z
Tl1 Tl 0.0000 0.0000 0.0000
Tl2 Tl 0.0000 0.0000 0.5000
Tl3 Tl 0.3772 0.7553 0.2645
Cr1 Cr 0.2053 0.4091 0.8703
Cl1 Cl 0.3501 0.6990 0.7270
```

Peak list (10 most intense, 2θ from 5° to 70°, sorted by position)
| 2theta | Rel. int. | hkl |
| --- | --- | --- |
| 16.5 | 91 | 0 1 -1 |
| 16.7 | 41 | 0 1 0 |
| 28.2 | 47 | 1 0 -2 |
| 28.4 | 47 | 1 -1 2 |
| 30.2 | 100 | 1 1 0 |
| 33.1 | 89 | 2 -1 0 |
| 33.4 | 83 | 0 2 -2 |
| 33.6 | 65 | -1 1 2 |
| 33.8 | 64 | 1 0 2 |
| 46.0 | 49 | 1 -3 0 |

This entry pairs a crystal structure of VCrCl4 with its computed X-ray powder pattern. Radiation: Cu Kα (weighted mean of Kα1 and Kα2). Structure: a crystal structure in Alexandria, relaxed with PBE.
Intensities are scaled so that the largest is 100.

Structural model:
```
data_VCrCl4
_chemical_formula_sum 'V4 Cr4 Cl16'
_cell_length_a 7.0508
_cell_length_b 15.2997
_cell_length_c 6.5380
_cell_angle_alpha 90.00
_cell_angle_beta 121.13
_cell_angle_gamma 90.00
_space_group_name_H-M_alt 'C 1 2/c 1'
_space_group_IT_number 15
_space_group_name_Hall '-C 2yc'
loop_
_atom_site_label
_atom_site_type_symbol
_atom_site_fract_x
_atom_site_fract_y
_atom_site_fract_z
V1 V 0.0000 0.0638 0.2500
Cr1 Cr 0.0000 0.4332 0.7500
Cl1 Cl 0.2376 0.0492 0.6996
Cl2 Cl 0.2465 0.1681 0.2331
```

Peak list (10 most intense, 2θ from 5° to 70°, sorted by position)
| 2theta | Rel. int. | hkl |
| --- | --- | --- |
| 11.6 | 100 | 0 2 0 |
| 19.7 | 65 | 0 2 1 |
| 27.9 | 14 | 2 2 -1 |
| 32.0 | 52 | 0 0 2 |
| 34.6 | 81 | 2 4 -1 |
| 43.8 | 12 | 2 6 -1 |
| 47.3 | 28 | 2 4 1 |
| 47.5 | 11 | 0 8 0 |
| 48.3 | 24 | 2 4 -3 |
| 51.9 | 12 | 4 0 -2 |

This entry pairs a crystal structure of ZnCrCl2 with its computed X-ray powder pattern. Radiation: Cu Kα (weighted mean of Kα1 and Kα2). Structure: a crystal structure in Alexandria, relaxed with PBE.
Intensities are scaled so that the largest is 100.

Structural model:
```
data_ZnCrCl2
_chemical_formula_sum 'Zn3 Cr3 Cl6'
_cell_length_a 3.4829
_cell_length_b 3.4829
_cell_length_c 25.7556
_cell_angle_alpha 90.00
_cell_angle_beta 90.00
_cell_angle_gamma 120.00
_space_group_name_H-M_alt 'R 3 m'
_space_group_IT_number 160
_space_group_name_Hall 'R 3 -2"'
loop_
_atom_site_label
_atom_site_type_symbol
_atom_site_fract_x
_atom_site_fract_y
_atom_site_fract_z
Zn1 Zn 0.0000 0.0000 0.0000
Cr1 Cr 0.0000 0.0000 0.2568
Cl1 Cl 0.0000 0.0000 0.5346
Cl2 Cl 0.0000 0.0000 0.7231
```

Peak list (10 most intense, 2θ from 5° to 70°, sorted by position)
| 2theta | Rel. int. | hkl |
| --- | --- | --- |
| 10.3 | 100 | 0 0 3 |
| 20.7 | 10 | 0 0 6 |
| 32.8 | 96 | 1 0 4 |
| 38.6 | 38 | 1 0 7 |
| 41.0 | 26 | 0 1 8 |
| 49.3 | 28 | 0 1 11 |
| 52.6 | 28 | 1 1 0 |
| 53.4 | 7 | 0 0 15 |
| 53.7 | 9 | 1 1 3 |
| 63.3 | 12 | 0 2 4 |

This entry pairs a crystal structure of CsCl with its computed X-ray powder pattern. Radiation: Cu Kα (weighted mean of Kα1 and Kα2). Structure: a crystal structure in Alexandria, relaxed with PBE.
Intensities are scaled so that the largest is 100.

Structural model:
```
data_CsCl
_chemical_formula_sum 'Cs8 Cl8'
_cell_length_a 11.7812
_cell_length_b 11.7812
_cell_length_c 6.9669
_cell_angle_alpha 90.00
_cell_angle_beta 90.00
_cell_angle_gamma 90.00
_space_group_name_H-M_alt 'I 4/m'
_space_group_IT_number 87
_space_group_name_Hall '-I 4'
loop_
_atom_site_label
_atom_site_type_symbol
_atom_site_fract_x
_atom_site_fract_y
_atom_site_fract_z
Cs1 Cs 0.1461 0.6486 0.0000
Cl1 Cl 0.1454 0.6480 0.5000
```

Peak list (10 most intense, 2θ from 5° to 70°, sorted by position)
| 2theta | Rel. int. | hkl |
| --- | --- | --- |
| 10.6 | 90 | 1 1 0 |
| 21.1 | 100 | 1 2 1 |
| 23.9 | 67 | 3 1 0 |
| 25.6 | 45 | 0 0 2 |
| 30.3 | 41 | 4 0 0 |
| 32.2 | 36 | 3 3 0 |
| 35.3 | 47 | 3 1 2 |
| 40.1 | 37 | 4 0 2 |
| 41.6 | 35 | 3 3 2 |
| 43.4 | 25 | 5 2 1 |

This entry pairs a crystal structure of CsCl with its computed X-ray powder pattern. Radiation: Cu Kα (weighted mean of Kα1 and Kα2). Structure: a crystal structure in Alexandria, relaxed with PBE.
Intensities are scaled so that the largest is 100.

Structural model:
```
data_CsCl
_chemical_formula_sum 'Cs4 Cl4'
_cell_length_a 7.0727
_cell_length_b 7.0727
_cell_length_c 7.0727
_cell_angle_alpha 90.00
_cell_angle_beta 90.00
_cell_angle_gamma 90.00
_space_group_name_H-M_alt 'F m -3 m'
_space_group_IT_number 225
_space_group_name_Hall '-F 4 2 3'
loop_
_atom_site_label
_atom_site_type_symbol
_atom_site_fract_x
_atom_site_fract_y
_atom_site_fract_z
Cs1 Cs 0.0000 0.0000 0.0000
Cl1 Cl 0.0000 0.0000 0.5000
```

Peak list (10 most intense, 2θ from 5° to 70°, sorted by position)
| 2theta | Rel. int. | hkl |
| --- | --- | --- |
| 21.8 | 57 | 1 1 1 |
| 25.2 | 100 | 2 0 0 |
| 35.9 | 76 | 2 2 0 |
| 42.4 | 32 | 3 1 1 |
| 44.4 | 27 | 2 2 2 |
| 51.7 | 13 | 4 0 0 |
| 56.7 | 14 | 3 3 1 |
| 58.3 | 35 | 4 2 0 |
| 64.6 | 26 | 4 2 2 |
| 69.0 | 11 | 5 1 1 |

This entry pairs a crystal structure of CsCl with its computed X-ray powder pattern. Radiation: Cu Kα (weighted mean of Kα1 and Kα2). Structure: a crystal structure in Alexandria, relaxed with PBE.
Intensities are scaled so that the largest is 100.

Structural model:
```
data_CsCl
_chemical_formula_sum 'Cs2 Cl2'
_cell_length_a 4.9133
_cell_length_b 4.9133
_cell_length_c 8.4017
_cell_angle_alpha 90.00
_cell_angle_beta 90.00
_cell_angle_gamma 120.00
_space_group_name_H-M_alt 'P 63/m m c'
_space_group_IT_number 194
_space_group_name_Hall '-P 6c 2c'
loop_
_atom_site_label
_atom_site_type_symbol
_atom_site_fract_x
_atom_site_fract_y
_atom_site_fract_z
Cs1 Cs 0.3333 0.6667 0.2500
Cl1 Cl 0.0000 0.0000 0.0000
```

Peak list (10 most intense, 2θ from 5° to 70°, sorted by position)
| 2theta | Rel. int. | hkl |
| --- | --- | --- |
| 21.1 | 14 | 0 0 2 |
| 23.4 | 100 | 1 0 1 |
| 29.9 | 44 | 1 0 2 |
| 36.6 | 34 | 1 1 0 |
| 38.5 | 27 | 1 0 3 |
| 42.6 | 14 | 1 1 2 |
| 43.9 | 18 | 2 0 1 |
| 47.9 | 11 | 2 0 2 |
| 57.7 | 17 | 1 1 4 |
| 58.4 | 16 | 2 1 1 |

This entry pairs a crystal structure of CsCl4 with its computed X-ray powder pattern. Radiation: Cu Kα (weighted mean of Kα1 and Kα2). Structure: a crystal structure in Alexandria, relaxed with PBE.
Intensities are scaled so that the largest is 100.

Structural model:
```
data_CsCl4
_chemical_formula_sum 'Cs4 Cl16'
_cell_length_a 7.7254
_cell_length_b 7.7254
_cell_length_c 11.2751
_cell_angle_alpha 90.00
_cell_angle_beta 90.00
_cell_angle_gamma 90.00
_space_group_name_H-M_alt 'I 4/m m m'
_space_group_IT_number 139
_space_group_name_Hall '-I 4 2'
loop_
_atom_site_label
_atom_site_type_symbol
_atom_site_fract_x
_atom_site_fract_y
_atom_site_fract_z
Cs1 Cs 0.0000 0.5000 0.2500
Cl1 Cl 0.0000 0.0000 0.0000
Cl2 Cl 0.0000 0.0000 0.2041
Cl3 Cl 0.0000 0.0000 0.5000
Cl4 Cl 0.2137 0.2137 0.5000
```

Peak list (10 most intense, 2θ from 5° to 70°, sorted by position)
| 2theta | Rel. int. | hkl |
| --- | --- | --- |
| 22.7 | 92 | 1 1 2 |
| 23.0 | 43 | 2 0 0 |
| 28.0 | 100 | 2 0 2 |
| 31.7 | 32 | 0 0 4 |
| 32.8 | 61 | 2 2 0 |
| 40.2 | 32 | 3 1 2 |
| 46.3 | 37 | 2 2 4 |
| 47.1 | 18 | 4 0 0 |
| 55.6 | 20 | 4 2 2 |
| 57.9 | 16 | 4 0 4 |

This entry pairs a crystal structure of CsCu4Cl8 with its computed X-ray powder pattern. Radiation: Cu Kα (weighted mean of Kα1 and Kα2). Structure: a crystal structure in Alexandria, relaxed with PBE.
Intensities are scaled so that the largest is 100.

Structural model:
```
data_CsCu4Cl8
_chemical_formula_sum 'Cs1 Cu4 Cl8'
_cell_length_a 6.5799
_cell_length_b 6.5799
_cell_length_c 9.5117
_cell_angle_alpha 90.00
_cell_angle_beta 90.00
_cell_angle_gamma 120.00
_space_group_name_H-M_alt 'P -3 1 m'
_space_group_IT_number 162
_space_group_name_Hall '-P 3 2'
loop_
_atom_site_label
_atom_site_type_symbol
_atom_site_fract_x
_atom_site_fract_y
_atom_site_fract_z
Cs1 Cs 0.0000 0.0000 0.0000
Cu1 Cu 0.3333 0.6667 0.2448
Cl1 Cl 0.0000 0.3419 0.6895
Cl2 Cl 0.3333 0.6667 0.0000
```

Peak list (10 most intense, 2θ from 5° to 70°, sorted by position)
| 2theta | Rel. int. | hkl |
| --- | --- | --- |
| 9.3 | 39 | 0 0 1 |
| 18.7 | 29 | 0 0 2 |
| 24.4 | 88 | 1 0 2 |
| 27.1 | 83 | 1 1 0 |
| 28.7 | 100 | 1 1 1 |
| 36.8 | 27 | 2 0 2 |
| 46.3 | 30 | 2 1 2 |
| 47.2 | 64 | 1 1 4 |
| 47.9 | 56 | 3 0 0 |
| 55.9 | 28 | 2 -1 5 |